1.
The following is a simulated PXRD pattern of RbZnH2Se2BrO6. It was derived from a cell relaxed with GGA-PBE, using Cu Kα, 1.54184 Å.

Lattice parameters (Å, degrees): 6.6225 6.3793 10.9043 90.00 102.94 90.00
Element x y z (fractional)
Rb 0.0000 0.1620 0.2500
Rb 0.0000 0.8380 0.7500
Zn 0.5000 0.4424 0.7500
Zn 0.5000 0.5576 0.2500
H 0.0649 0.3469 0.5897
H 0.0649 0.6531 0.0897
H 0.9351 0.3469 0.9103
H 0.9351 0.6531 0.4103
Se 0.2956 0.3236 0.9880
Se 0.2956 0.6764 0.4880
Se 0.7044 0.3236 0.5120
Se 0.7044 0.6764 0.0120
Br 0.5000 0.0570 0.7500
Br 0.5000 0.9430 0.2500
O 0.0383 0.2269 0.9246
O 0.0383 0.7731 0.4246
O 0.2445 0.4604 0.1156
O 0.2445 0.5396 0.6156
O 0.3176 0.4808 0.3842
O 0.3176 0.5192 0.8842
O 0.6824 0.4808 0.1158
O 0.6824 0.5192 0.6158
O 0.7555 0.4604 0.3844
O 0.7555 0.5396 0.8844
O 0.9617 0.2269 0.5754
O 0.9617 0.7731 0.0754

The 6 most intense peaks (2θ from 10° to 90°), sorted by position:
- 2θ = 21.8°, 4.083 Å, I 28, (0 1 2)
- 2θ = 22.5°, 3.954 Å, I 100, (1 1 1)
- 2θ = 29.0°, 3.081 Å, I 43, (2 0 -2)
- 2θ = 29.4°, 3.033 Å, I 62, (1 1 -3)
- 2θ = 31.6°, 2.833 Å, I 26, (1 2 -1)
- 2θ = 35.6°, 2.519 Å, I 34, (2 0 2)

2.
The following is a simulated PXRD pattern of SbHBrO2. It was derived from a cell relaxed with GGA-PBE, using Cu Kα, 1.54184 Å.

Lattice parameters (Å, degrees): 6.1106 4.0616 7.0708 90.00 96.01 90.00
Element x y z (fractional)
Sb 0.1872 0.2500 0.4075
Sb 0.8128 0.7500 0.5925
H 0.1142 0.2500 0.0476
H 0.8858 0.7500 0.9524
Br 0.4739 0.2500 0.7690
Br 0.5261 0.7500 0.2310
O 0.0214 0.2500 0.1525
O 0.1025 0.7500 0.4659
O 0.8975 0.2500 0.5341
O 0.9786 0.7500 0.8475

The 6 most intense peaks (2θ from 10° to 90°), sorted by position:
- 2θ = 12.6°, 7.032 Å, I 84, (0 0 1)
- 2θ = 20.3°, 4.377 Å, I 33, (1 0 1)
- 2θ = 26.4°, 3.377 Å, I 44, (1 1 0)
- 2θ = 28.7°, 3.116 Å, I 100, (1 1 -1)
- 2θ = 30.7°, 2.914 Å, I 49, (1 0 2)
- 2θ = 44.6°, 2.030 Å, I 49, (0 2 0)

3.
The following is a simulated PXRD pattern of ScH11Br2O6. It was derived from a cell relaxed with GGA-PBE, using Cu Kα, 1.54184 Å.

Lattice parameters (Å, degrees): 7.5688 8.4271 8.6786 95.30 115.12 102.02
Element x y z (fractional)
Sc 0.1230 0.1613 0.1747
Sc 0.8770 0.8387 0.8253
H 0.0303 0.5503 0.8027
H 0.0544 0.8273 0.1757
H 0.0758 0.8400 0.6064
H 0.1623 0.0223 0.7228
H 0.1960 0.6809 0.9769
H 0.2526 0.4587 0.4394
H 0.3376 0.3192 0.5362
H 0.3709 0.3097 0.0174
H 0.3960 0.4593 0.1567
H 0.4229 0.9838 0.2904
H 0.4614 0.8327 0.5981
H 0.5386 0.1673 0.4019
H 0.5771 0.0162 0.7096
H 0.6040 0.5407 0.8433
H 0.6291 0.6903 0.9826
H 0.6624 0.6808 0.4638
H 0.7474 0.5413 0.5606
H 0.8040 0.3191 0.0231
H 0.8377 0.9777 0.2772
H 0.9242 0.1600 0.3936
H 0.9456 0.1727 0.8243
H 0.9697 0.4497 0.1973
Br 0.1342 0.6866 0.4141
Br 0.4681 0.2462 0.8061
Br 0.5319 0.7538 0.1939
Br 0.8658 0.3134 0.5859
O 0.0317 0.9032 0.0939
O 0.0555 0.6530 0.8829
O 0.0556 0.9173 0.6871
O 0.2861 0.3527 0.4223
O 0.3423 0.3383 0.1161
O 0.4022 0.0898 0.3264
O 0.5978 0.9102 0.6736
O 0.6577 0.6617 0.8839
O 0.7139 0.6473 0.5777
O 0.9444 0.0827 0.3129
O 0.9445 0.3470 0.1171
O 0.9683 0.0968 0.9061

The 6 most intense peaks (2θ from 10° to 90°), sorted by position:
- 2θ = 21.1°, 4.212 Å, I 85, (1 -1 1)
- 2θ = 22.0°, 4.034 Å, I 69, (0 2 0)
- 2θ = 23.1°, 3.857 Å, I 100, (1 1 -2)
- 2θ = 24.0°, 3.702 Å, I 81, (-1 1 2)
- 2θ = 27.6°, 3.230 Å, I 36, (-2 1 2)
- 2θ = 37.6°, 2.392 Å, I 37, (0 3 1)